(1)
# NdSm15Er4
Simulated powder diffraction line list, λ = 1.5418 Å (Cu Kα). Input: a DFT-relaxed cell (GGA-PBE, Alexandria).
Neutral-atom scattering factors, no anomalous dispersion.

Structural model:
```
data_NdSm15Er4
_cell_length_a 5.102
_cell_length_b 5.102
_cell_length_c 25.455
_cell_angle_alpha 90.00
_cell_angle_beta 90.00
_cell_angle_gamma 90.00
_symmetry_space_group_name_H-M 'P 4/m m m'
_symmetry_Int_Tables_number 123
_symmetry_space_group_name_Hall '-P 4 2'
loop_
_atom_site_label
_atom_site_type_symbol
_atom_site_fract_x
_atom_site_fract_y
_atom_site_fract_z
_atom_site_occupancy
Nd1 Nd 0.000 0.000 0.000 1
Sm1 Sm 0.000 0.500 0.102 1
Sm2 Sm 0.000 0.500 0.301 1
Sm3 Sm 0.000 0.500 0.500 1
Sm4 Sm 0.500 0.500 0.000 1
Sm5 Sm 0.500 0.500 0.202 1
Sm6 Sm 0.500 0.500 0.400 1
Er1 Er 0.000 0.000 0.201 1
Er2 Er 0.000 0.000 0.400 1
```

Largest 8 diffraction maxima, sorted by position, 10 to 80 degrees two-theta:
d 2.944, I = 100, (1 1 5)
d 2.549, I = 51, (2 0 0)
d 1.803, I = 36, (2 2 0)
d 1.538, I = 29, (3 1 5)
d 1.536, I = 14, (1 1 15)
d 1.472, I = 12, (2 2 10)
d 1.276, I = 4, (4 0 0)
d 1.273, I = 2, (0 0 20)



(2)
# NdSm4Er8
Simulated powder diffraction line list, λ = 1.5418 Å (Cu Kα). Input: a DFT-relaxed cell (GGA-PBE, Alexandria).
Neutral-atom scattering factors, no anomalous dispersion.

Structural model:
```
data_NdSm4Er8
_cell_length_a 7.769
_cell_length_b 7.769
_cell_length_c 7.769
_cell_angle_alpha 90.00
_cell_angle_beta 90.00
_cell_angle_gamma 90.00
_symmetry_space_group_name_H-M 'P m -3 m'
_symmetry_Int_Tables_number 221
_symmetry_space_group_name_Hall '-P 4 2 3'
loop_
_atom_site_label
_atom_site_type_symbol
_atom_site_fract_x
_atom_site_fract_y
_atom_site_fract_z
_atom_site_occupancy
Nd1 Nd 0.000 0.000 0.000 1
Sm1 Sm 0.000 0.000 0.500 1
Sm2 Sm 0.500 0.500 0.500 1
Er1 Er 0.261 0.261 0.261 1
```

Largest 12 diffraction maxima, sorted by position, 10 to 80 degrees two-theta:
d 5.494, I = 3, (1 1 0)
d 4.486, I = 11, (1 1 1)
d 3.885, I = 9, (2 0 0)
d 3.474, I = 5, (2 1 0)
d 2.747, I = 100, (2 2 0)
d 2.342, I = 6, (3 1 1)
d 1.942, I = 18, (4 0 0)
d 1.782, I = 3, (3 3 1)
d 1.737, I = 3, (4 2 0)
d 1.586, I = 37, (4 2 2)
d 1.373, I = 11, (4 4 0)
d 1.228, I = 15, (6 2 0)



(3)
# Nd12SmEr2
Simulated powder diffraction line list, λ = 1.5418 Å (Cu Kα). Input: a DFT-relaxed cell (GGA-PBE, Alexandria).
Neutral-atom scattering factors, no anomalous dispersion.

Structural model:
```
data_Nd12SmEr2
_cell_length_a 7.198
_cell_length_b 11.691
_cell_length_c 25.044
_cell_angle_alpha 90.00
_cell_angle_beta 90.00
_cell_angle_gamma 90.00
_symmetry_space_group_name_H-M 'C m m e'
_symmetry_Int_Tables_number 67
_symmetry_space_group_name_Hall '-C 2a 2'
loop_
_atom_site_label
_atom_site_type_symbol
_atom_site_fract_x
_atom_site_fract_y
_atom_site_fract_z
_atom_site_occupancy
Nd1 Nd 0.000 0.000 0.074 1
Nd2 Nd 0.000 0.001 0.437 1
Nd3 Nd 0.249 0.250 0.585 1
Nd4 Nd 0.250 0.000 0.198 1
Nd5 Nd 0.250 0.000 0.323 1
Nd6 Nd 0.250 0.250 0.132 1
Sm1 Sm 0.000 0.250 0.000 1
Er1 Er 0.000 0.250 0.269 1
Er2 Er 0.000 0.250 0.731 1
```

Largest 12 diffraction maxima, sorted by position, 10 to 80 degrees two-theta:
d 3.122, I = 26, (2 0 4)
d 3.051, I = 42, (0 2 7)
d 2.977, I = 67, (2 2 2)
d 2.923, I = 71, (0 4 0)
d 2.877, I = 18, (2 2 3)
d 2.757, I = 100, (0 2 8)
d 2.470, I = 33, (2 2 6)
d 2.134, I = 18, (2 4 4)
d 1.653, I = 23, (0 6 8)
d 1.607, I = 21, (2 4 11)
d 1.532, I = 20, (4 4 0)
d 1.507, I = 18, (4 2 8)



(4)
# NdSm4Er
Simulated powder diffraction line list, λ = 1.5418 Å (Cu Kα). Input: a DFT-relaxed cell (GGA-PBE, Alexandria).
Neutral-atom scattering factors, no anomalous dispersion.

Structural model:
```
data_NdSm4Er
_cell_length_a 11.773
_cell_length_b 3.472
_cell_length_c 11.612
_cell_angle_alpha 90.00
_cell_angle_beta 119.71
_cell_angle_gamma 90.00
_symmetry_space_group_name_H-M 'C 1 2/m 1'
_symmetry_Int_Tables_number 12
_symmetry_space_group_name_Hall '-C 2y'
loop_
_atom_site_label
_atom_site_type_symbol
_atom_site_fract_x
_atom_site_fract_y
_atom_site_fract_z
_atom_site_occupancy
Nd1 Nd 0.000 0.000 0.000 1
Sm1 Sm 0.188 0.000 0.842 1
Sm2 Sm 0.192 0.000 0.347 1
Er1 Er 0.000 0.000 0.500 1
```

Largest 12 diffraction maxima, sorted by position, 10 to 80 degrees two-theta:
d 3.288, I = 52, (1 1 0)
d 2.939, I = 100, (2 0 2)
d 2.903, I = 55, (2 0 -4)
d 2.576, I = 54, (3 1 -2)
d 2.573, I = 53, (1 1 2)
d 2.176, I = 33, (1 1 -4)
d 1.762, I = 24, (5 1 0)
d 1.605, I = 25, (5 1 -6)
d 1.508, I = 14, (7 1 -4)
d 1.505, I = 14, (3 1 4)
d 1.495, I = 26, (2 2 2)
d 1.490, I = 15, (2 2 -4)